Starting from a DFT-relaxed cell (PBE+U, the Materials Project), the powder diffractogram of Mn9Fe4O24 was computed for Cu Kα, 1.54184 Å.
No peak broadening, texture or thermal motion is included.

Structure:
a b c (Å): 13.144 13.144 5.897
angles (deg): 102.71 102.71 25.99
Element x y z (fractional)
Mn1 0.000 0.000 0.000
Mn2 0.000 0.000 0.498
Mn3 0.168 0.668 0.669
Mn4 0.331 0.836 0.334
Mn5 0.333 0.333 0.845
Mn6 0.665 0.665 0.164
Mn7 0.665 0.665 0.666
Mn8 0.668 0.168 0.669
Mn9 0.836 0.331 0.334
Fe1 0.012 0.487 0.000
Fe2 0.333 0.333 0.323
Fe3 0.487 0.012 0.000
Fe4 0.791 0.791 0.544
O1 0.077 0.077 0.545
O2 0.078 0.078 0.112
O3 0.100 0.575 0.595
O4 0.107 0.556 0.066
O5 0.211 0.778 0.745
O6 0.222 0.789 0.254
O7 0.254 0.254 0.235
O8 0.258 0.258 0.772
O9 0.411 0.411 0.875
O10 0.413 0.413 0.457
O11 0.440 0.880 0.410
O12 0.458 0.882 0.918
O13 0.556 0.107 0.066
O14 0.575 0.100 0.595
O15 0.588 0.588 0.121
O16 0.588 0.588 0.556
O17 0.745 0.745 0.238
O18 0.745 0.745 0.754
O19 0.778 0.211 0.745
O20 0.789 0.222 0.254
O21 0.880 0.440 0.410
O22 0.882 0.458 0.918
O23 0.922 0.922 0.455
O24 0.923 0.923 0.889

The 10 most intense peaks (2θ from 10° to 90°), in order of rising 2θ:
| 2θ/deg | Rel. int. |
| --- | --- |
| 18.43 | 100 |
| 35.67 | 33 |
| 35.76 | 18 |
| 37.32 | 9 |
| 43.35 | 37 |
| 43.52 | 18 |
| 57.33 | 13 |
| 63.02 | 18 |
| 63.22 | 12 |
| 79.57 | 6 |